Pm5PaSi4: calculated powder XRD pattern (a wavelength of 1.5418 Å), based on DFT lattice parameters and positions (PBE).

Structure:
Lattice parameters (Å, degrees): 9.311 9.311 8.187 104.10 104.10 25.87
Sites, in units of the cell vectors:
1 Pm 0.000 0.000 0.000
2 Pm 0.333 0.333 0.657
3 Pm 0.335 0.335 0.161
4 Pm 0.665 0.665 0.839
5 Pm 0.667 0.667 0.343
6 Pa 0.000 0.000 0.500
7 Si 0.165 0.165 0.594
8 Si 0.500 0.500 0.256
9 Si 0.500 0.500 0.744
10 Si 0.835 0.835 0.406

Largest 8 diffraction maxima, in order of rising 2θ, 2θ = 5–70°:
two_theta, I/Imax
26.24, 90
26.89, 28
30.58, 100
43.38, 38
44.21, 36
51.82, 19
54.00, 20
69.48, 12